This entry pairs a crystal structure of TaAlSi with its simulated powder diffraction line list. Radiation: λ = 1.5418 Å (Cu Kα). Structure: a crystal structure in Alexandria, relaxed with PBE.
Peak positions follow from Bragg's law for the DFT cell and can differ from measured ones.

Main lines, in order of rising 2θ (2θ = 10–90°):
2θ = 23.0°, d 3.868, I 100
2θ = 29.2°, d 3.058, I 58
2θ = 36.9°, d 2.438, I 31
2θ = 38.1°, d 2.361, I 68
2θ = 40.6°, d 2.221, I 28
2θ = 41.5°, d 2.176, I 54
2θ = 42.1°, d 2.148, I 22
2θ = 48.2°, d 1.887, I 35
2θ = 59.9°, d 1.544, I 16
2θ = 61.2°, d 1.514, I 14
2θ = 64.8°, d 1.438, I 14
2θ = 66.1°, d 1.414, I 14

Structure:
```
TaAlSi
1.0
0.000 4.442 4.217
2.496 0.000 4.217
2.496 4.442 0.000
Ta Al Si
2 2 2
direct
0.000 0.000 0.000
0.250 0.250 0.250
0.659 0.659 0.341
0.909 0.909 0.591
0.332 0.332 0.668
0.582 0.582 0.918
```

=====

This entry pairs a crystal structure of TaAlSi with its simulated powder diffraction line list. Radiation: λ = 1.5418 Å (Cu Kα). Structure: a crystal structure in Alexandria, relaxed with PBE.
Peak positions follow from Bragg's law for the DFT cell and can differ from measured ones.

Main lines, in order of rising 2θ (2θ = 10–90°):
2θ = 20.9°, d 4.244, I 23
2θ = 24.8°, d 3.597, I 100
2θ = 33.9°, d 2.648, I 46
2θ = 39.1°, d 2.304, I 78
2θ = 39.9°, d 2.259, I 27
2θ = 42.6°, d 2.122, I 25
2θ = 45.7°, d 1.986, I 50
2θ = 59.2°, d 1.561, I 18
2θ = 59.8°, d 1.547, I 19
2θ = 64.2°, d 1.450, I 14
2θ = 67.2°, d 1.393, I 16
2θ = 67.7°, d 1.385, I 12

Structure:
```
TaAlSi
1.0
4.901 0.000 0.000
-2.450 4.244 0.000
0.000 0.000 6.776
Ta Al Si
3 3 3
direct
0.035 0.518 0.000
0.482 0.518 0.667
0.482 0.965 0.333
0.349 0.175 0.000
0.825 0.175 0.667
0.825 0.651 0.333
0.154 0.308 0.333
0.154 0.846 0.667
0.692 0.846 0.000
```

=====

This entry pairs a crystal structure of TbAl2Si with its simulated powder diffraction line list. Radiation: λ = 1.5418 Å (Cu Kα). Structure: a crystal structure in Alexandria, relaxed with PBE.
Peak positions follow from Bragg's law for the DFT cell and can differ from measured ones.

Main lines, in order of rising 2θ (2θ = 10–90°):
2θ = 20.5°, d 4.337, I 33
2θ = 21.3°, d 4.176, I 56
2θ = 29.7°, d 3.008, I 50
2θ = 30.3°, d 2.953, I 25
2θ = 36.8°, d 2.441, I 100
2θ = 41.7°, d 2.168, I 18
2θ = 43.3°, d 2.088, I 31
2θ = 47.2°, d 1.924, I 14
2θ = 48.4°, d 1.881, I 14
2θ = 53.4°, d 1.715, I 20
2θ = 61.7°, d 1.504, I 22
2θ = 75.2°, d 1.263, I 25

Structure:
```
TbAl2Si
1.0
4.176 0.000 0.000
0.000 4.176 0.000
0.000 0.000 4.337
Tb Al Si
1 2 1
direct
0.000 0.000 0.000
0.000 0.500 0.500
0.500 0.000 0.500
0.500 0.500 0.000
```